[1]
For Rb2Mo9Se10, DFT lattice parameters and positions (GGA-PBE) gives the calculated powder XRD pattern in this record (CuKα).

Peak list (12 most intense, 2θ = 10–90°, low angle first)
(1 0 1), 2θ 10.92, I = 1000
(0 1 2), 2θ 11.62, I = 123
(1 1 9), 2θ 27.95, I = 146
(2 1 1), 2θ 28.58, I = 92
(3 0 0), 2θ 32.40, I = 115
(3 -2 8), 2θ 34.13, I = 153
(4 -3 1), 2θ 39.26, I = 115
(0 0 18), 2θ 42.17, I = 145
(4 -3 7), 2θ 42.61, I = 80
(2 2 9), 2θ 43.31, I = 464
(3 1 8), 2θ 43.62, I = 106
(5 -3 8), 2θ 51.67, I = 118

Structure:
```
data_Rb2Mo9Se10
_space_group_name_H-M_alt 'R -3'
_space_group_IT_number 148
_space_group_name_Hall '-R 3'
_cell_length_a 9.5717
_cell_length_b 9.5717
_cell_length_c 38.5688
_cell_angle_alpha 90.00
_cell_angle_beta 90.00
_cell_angle_gamma 120.00
loop_
_atom_site_label
_atom_site_type_symbol
_atom_site_fract_x
_atom_site_fract_y
_atom_site_fract_z
Rb1 Rb 0.0000 0.0000 0.0767
Rb2 Rb 0.0000 0.0000 0.2044
Mo1 Mo 0.0171 0.1696 0.5875
Mo2 Mo 0.0191 0.1695 0.4704
Mo3 Mo 0.0221 0.1696 0.3528
Se1 Se 0.0000 0.0000 0.3003
Se2 Se 0.0024 0.3707 0.0780
Se3 Se 0.0019 0.6260 0.6906
Se4 Se 0.0037 0.6300 0.8046
```

[2]
For TlTcAgTeSe2, DFT lattice parameters and positions (GGA-PBE) gives the calculated powder XRD pattern in this record (CuKα).

Peak list (12 most intense, 2θ = 10–90°, low angle first)
(0 0 2), 2θ 16.88, I = 180
(0 2 2), 2θ 20.36, I = 192
(0 4 2), 2θ 28.43, I = 125
(1 3 1), 2θ 30.84, I = 1000
(0 0 4), 2θ 34.14, I = 473
(0 6 0), 2θ 34.30, I = 450
(1 5 0), 2θ 37.64, I = 133
(0 6 2), 2θ 38.50, I = 232
(1 3 3), 2θ 39.43, I = 370
(2 0 0), 2θ 49.33, I = 175
(1 3 5), 2θ 53.12, I = 280
(2 0 4), 2θ 61.36, I = 170

Structure:
```
data_TlTcAgTeSe2
_space_group_name_H-M_alt 'C m c m'
_space_group_IT_number 63
_space_group_name_Hall '-C 2c 2'
_cell_length_a 3.6945
_cell_length_b 15.6662
_cell_length_c 10.5054
_cell_angle_alpha 90.00
_cell_angle_beta 90.00
_cell_angle_gamma 90.00
loop_
_atom_site_label
_atom_site_type_symbol
_atom_site_fract_x
_atom_site_fract_y
_atom_site_fract_z
Tl1 Tl 0.0000 0.2323 0.2500
Tc1 Tc 0.0000 0.0000 0.0000
Ag1 Ag 0.0000 0.4401 0.7500
Te1 Te 0.0000 0.0763 0.7500
Se1 Se 0.0000 0.3844 0.5202
```

[3]
For BaTmMgSb2, DFT lattice parameters and positions (GGA-PBE) gives the calculated powder XRD pattern in this record (CuKα).

Peak list (12 most intense, 2θ = 10–90°, low angle first)
(1 0 0), 2θ 21.01, I = 224
(0 1 1), 2θ 23.57, I = 1000
(0 1 2), 2θ 30.04, I = 664
(1 1 0), 2θ 36.81, I = 770
(1 0 3), 2θ 38.65, I = 502
(2 0 1), 2θ 44.18, I = 187
(2 0 2), 2θ 48.22, I = 177
(1 1 3), 2θ 49.61, I = 234
(0 2 3), 2θ 54.44, I = 184
(1 2 1), 2θ 58.81, I = 160
(1 2 2), 2θ 62.16, I = 165
(2 1 3), 2θ 67.53, I = 192

Structure:
```
data_BaTmMgSb2
_space_group_name_H-M_alt 'P 3 m 1'
_space_group_IT_number 156
_cell_length_a 4.8832
_cell_length_b 4.8832
_cell_length_c 8.3724
_cell_angle_alpha 90.00
_cell_angle_beta 90.00
_cell_angle_gamma 120.00
loop_
_space_group_symop_operation_xyz
'x,y,z'
'-y,x-y,z'
'-x+y,-x,z'
'-y,-x,z'
'-x+y,y,z'
'x,x-y,z'
loop_
_atom_site_label
_atom_site_type_symbol
_atom_site_fract_x
_atom_site_fract_y
_atom_site_fract_z
Ba1 Ba 0.0000 0.0000 0.0000
Tm1 Tm 0.6667 0.3333 0.3849
Mg1 Mg 0.3333 0.6667 0.6361
Sb1 Sb 0.3333 0.6667 0.2664
Sb2 Sb 0.6667 0.3333 0.7364
```

[4]
For RbIrSe2, DFT lattice parameters and positions (GGA-PBE) gives the calculated powder XRD pattern in this record (CuKα).

Peak list (12 most intense, 2θ = 10–90°, low angle first)
(0 2 2), 2θ 14.44, I = 1000
(0 0 4), 2θ 15.02, I = 608
(0 2 6), 2θ 25.83, I = 470
(1 3 3), 2θ 27.09, I = 405
(1 3 5), 2θ 31.11, I = 287
(2 2 0), 2θ 34.65, I = 218
(2 2 4), 2θ 37.95, I = 214
(2 0 6), 2θ 39.75, I = 379
(2 4 2), 2θ 41.85, I = 257
(0 6 6), 2θ 44.31, I = 253
(2 6 0), 2θ 50.35, I = 250
(2 0 10), 2θ 50.81, I = 270

Structure:
```
data_RbIrSe2
_space_group_name_H-M_alt 'F d d d'
_space_group_IT_number 70
_cell_length_a 5.5516
_cell_length_b 14.3569
_cell_length_c 23.5970
_cell_angle_alpha 90.00
_cell_angle_beta 90.00
_cell_angle_gamma 90.00
loop_
_space_group_symop_operation_xyz
'x,y,z'
'-x,-y,-z'
'-x+1/4,-y+1/4,z'
'x+1/4,y+1/4,-z'
'x,-y+1/4,-z+1/4'
'-x,y+1/4,z+1/4'
'-x+1/4,y,-z+1/4'
'x+1/4,-y,z+1/4'
'x,y+1/2,z+1/2'
'-x,-y+1/2,-z+1/2'
'-x+1/4,-y+3/4,z+1/2'
'x+1/4,y+3/4,-z+1/2'
'x,-y+3/4,-z+3/4'
'-x,y+3/4,z+3/4'
'-x+1/4,y+1/2,-z+3/4'
'x+1/4,-y+1/2,z+3/4'
'x+1/2,y,z+1/2'
'-x+1/2,-y,-z+1/2'
'-x+3/4,-y+1/4,z+1/2'
'x+3/4,y+1/4,-z+1/2'
'x+1/2,-y+1/4,-z+3/4'
'-x+1/2,y+1/4,z+3/4'
'-x+3/4,y,-z+3/4'
'x+3/4,-y,z+3/4'
'x+1/2,y+1/2,z'
'-x+1/2,-y+1/2,-z'
'-x+3/4,-y+3/4,z'
'x+3/4,y+3/4,-z'
'x+1/2,-y+3/4,-z+1/4'
'-x+1/2,y+3/4,z+1/4'
'-x+3/4,y+1/2,-z+1/4'
'x+3/4,-y+1/2,z+1/4'
loop_
_atom_site_label
_atom_site_type_symbol
_atom_site_fract_x
_atom_site_fract_y
_atom_site_fract_z
Rb1 Rb 0.1250 0.1250 0.3090
Ir1 Ir 0.1250 0.1250 0.1250
Ir2 Ir 0.1250 0.1250 0.6250
Se1 Se 0.1231 0.2762 0.8155
```

[5]
For Cu13Te2, DFT lattice parameters and positions (GGA-PBE) gives the calculated powder XRD pattern in this record (CuKα).

Peak list (12 most intense, 2θ = 10–90°, low angle first)
(0 0 4), 2θ 12.04, I = 264
(1 1 5), 2θ 38.14, I = 186
(1 1 7), 2θ 41.16, I = 1000
(2 0 -12), 2θ 42.20, I = 441
(1 1 8), 2θ 42.95, I = 802
(4 0 2), 2θ 43.96, I = 419
(4 0 3), 2θ 44.62, I = 390
(2 0 -13), 2θ 45.00, I = 310
(3 1 -4), 2θ 48.12, I = 251
(3 1 -5), 2θ 49.00, I = 786
(3 1 -6), 2θ 50.07, I = 188
(2 0 15), 2θ 52.13, I = 249

Structure:
```
data_Cu13Te2
_space_group_name_H-M_alt 'C 1 2/m 1'
_space_group_IT_number 12
_cell_length_a 8.3595
_cell_length_b 2.7198
_cell_length_c 29.4177
_cell_angle_alpha 90.00
_cell_angle_beta 91.71
_cell_angle_gamma 90.00
loop_
_space_group_symop_operation_xyz
'x,y,z'
'-x,-y,-z'
'-x,y,-z'
'x,-y,z'
'x+1/2,y+1/2,z'
'-x+1/2,-y+1/2,-z'
'-x+1/2,y+1/2,-z'
'x+1/2,-y+1/2,z'
loop_
_atom_site_label
_atom_site_type_symbol
_atom_site_fract_x
_atom_site_fract_y
_atom_site_fract_z
Cu1 Cu 0.0000 0.0000 0.0000
Cu2 Cu 0.0447 0.5000 0.9296
Cu3 Cu 0.0928 0.0000 0.8591
Cu4 Cu 0.1341 0.5000 0.1770
Cu5 Cu 0.1402 0.5000 0.7865
Cu6 Cu 0.1811 0.0000 0.1063
Cu7 Cu 0.2282 0.5000 0.0355
Te1 Te 0.0932 0.0000 0.2644
```

[6]
For NaSmNbO4, DFT lattice parameters and positions (GGA-PBE) gives the calculated powder XRD pattern in this record (CuKα).

Peak list (12 most intense, 2θ = 10–90°, low angle first)
(0 0 2), 2θ 14.12, I = 157
(1 0 2), 2θ 26.72, I = 563
(1 0 3), 2θ 31.19, I = 1000
(1 1 0), 2θ 32.14, I = 691
(1 1 1), 2θ 32.94, I = 132
(1 0 5), 2θ 42.73, I = 147
(2 0 0), 2θ 46.09, I = 376
(1 1 5), 2θ 48.85, I = 157
(2 1 2), 2θ 54.08, I = 162
(1 1 6), 2θ 54.90, I = 197
(2 1 3), 2θ 56.70, I = 379
(2 0 6), 2θ 65.06, I = 143

Structure:
```
data_NaSmNbO4
_space_group_name_H-M_alt 'P 4/n m m'
_space_group_IT_number 129
_cell_length_a 3.9388
_cell_length_b 3.9388
_cell_length_c 12.5466
_cell_angle_alpha 90.00
_cell_angle_beta 90.00
_cell_angle_gamma 90.00
loop_
_space_group_symop_operation_xyz
'x,y,z'
'-x,-y,-z'
'-y+1/2,x,z'
'y+1/2,-x,-z'
'-x+1/2,-y+1/2,z'
'x+1/2,y+1/2,-z'
'y,-x+1/2,z'
'-y,x+1/2,-z'
'x+1/2,-y,-z'
'-x+1/2,y,z'
'-y,-x,-z'
'y,x,z'
'-x,y+1/2,-z'
'x,-y+1/2,z'
'y+1/2,x+1/2,-z'
'-y+1/2,-x+1/2,z'
loop_
_atom_site_label
_atom_site_type_symbol
_atom_site_fract_x
_atom_site_fract_y
_atom_site_fract_z
Na1 Na 0.2500 0.2500 0.0838
Sm1 Sm 0.2500 0.2500 0.3928
Nb1 Nb 0.2500 0.2500 0.7573
O1 O 0.2500 0.2500 0.5692
O2 O 0.2500 0.2500 0.9066
O3 O 0.2500 0.7500 0.2782
```

[7]
For PrGdBrN, DFT lattice parameters and positions (GGA-PBE) gives the calculated powder XRD pattern in this record (CuKα).

Peak list (12 most intense, 2θ = 10–90°, low angle first)
(0 0 2), 2θ 12.20, I = 58
(1 0 0), 2θ 28.03, I = 235
(1 0 1), 2θ 28.71, I = 63
(1 0 3), 2θ 33.70, I = 1000
(0 0 6), 2θ 37.17, I = 154
(1 0 6), 2θ 47.19, I = 137
(1 1 0), 2θ 49.59, I = 240
(2 0 3), 2θ 61.31, I = 177
(1 1 6), 2θ 63.57, I = 193
(1 0 9), 2θ 64.81, I = 133
(2 1 3), 2θ 82.63, I = 153
(2 0 9), 2θ 85.76, I = 63

Structure:
```
data_PrGdBrN
_space_group_name_H-M_alt 'P -6 m 2'
_space_group_IT_number 187
_space_group_name_Hall 'P -6 2'
_cell_length_a 3.6762
_cell_length_b 3.6762
_cell_length_c 14.5138
_cell_angle_alpha 90.00
_cell_angle_beta 90.00
_cell_angle_gamma 120.00
loop_
_atom_site_label
_atom_site_type_symbol
_atom_site_fract_x
_atom_site_fract_y
_atom_site_fract_z
Pr1 Pr 0.0000 0.0000 0.1613
Gd1 Gd 0.6667 0.3333 0.3417
Br1 Br 0.0000 0.0000 0.5000
Br2 Br 0.6667 0.3333 0.0000
N1 N 0.3333 0.6667 0.2677
```

[8]
For TmHOF, DFT lattice parameters and positions (GGA-PBE) gives the calculated powder XRD pattern in this record (CuKα).

Peak list (12 most intense, 2θ = 10–90°, low angle first)
(0 1 1), 2θ 21.29, I = 471
(1 0 0), 2θ 21.48, I = 724
(1 1 0), 2θ 25.58, I = 640
(1 0 -2), 2θ 27.15, I = 1000
(0 2 1), 2θ 32.20, I = 539
(1 2 -1), 2θ 33.30, I = 891
(0 1 2), 2θ 35.65, I = 434
(2 0 -2), 2θ 36.91, I = 286
(2 1 0), 2θ 46.09, I = 447
(2 2 -1), 2θ 46.67, I = 290
(1 1 2), 2θ 51.33, I = 290
(1 3 1), 2θ 54.90, I = 275

Structure:
```
data_TmHOF
_space_group_name_H-M_alt 'P 1 21/c 1'
_space_group_IT_number 14
_cell_length_a 5.0027
_cell_length_b 6.4556
_cell_length_c 6.6149
_cell_angle_alpha 90.00
_cell_angle_beta 124.22
_cell_angle_gamma 90.00
loop_
_space_group_symop_operation_xyz
'x,y,z'
'-x,-y,-z'
'-x,y+1/2,-z+1/2'
'x,-y+1/2,z+1/2'
loop_
_atom_site_label
_atom_site_type_symbol
_atom_site_fract_x
_atom_site_fract_y
_atom_site_fract_z
Tm1 Tm 0.1208 0.1580 0.3408
H1 H 0.4988 0.5332 0.6702
O1 O 0.2646 0.0661 0.7217
F1 F 0.3347 0.6713 0.9241
```

[9]
For YTm2MoC3, DFT lattice parameters and positions (GGA-PBE) gives the calculated powder XRD pattern in this record (CuKα).

Peak list (12 most intense, 2θ = 10–90°, low angle first)
(0 0 1), 2θ 16.46, I = 275
(1 1 -1), 2θ 30.94, I = 570
(4 0 0), 2θ 31.83, I = 794
(0 0 2), 2θ 33.27, I = 783
(1 1 1), 2θ 34.27, I = 1000
(3 1 -1), 2θ 35.53, I = 987
(4 0 -2), 2θ 35.81, I = 607
(3 1 1), 2θ 43.95, I = 433
(3 1 -3), 2θ 54.55, I = 414
(4 0 2), 2θ 55.90, I = 237
(7 1 -1), 2θ 59.98, I = 240
(0 2 2), 2θ 66.06, I = 240

Structure:
```
data_YTm2MoC3
_space_group_name_H-M_alt 'C 1 m 1'
_space_group_IT_number 8
_cell_length_a 12.2616
_cell_length_b 3.3243
_cell_length_c 5.8737
_cell_angle_alpha 90.00
_cell_angle_beta 113.51
_cell_angle_gamma 90.00
loop_
_space_group_symop_operation_xyz
'x,y,z'
'x,-y,z'
'x+1/2,y+1/2,z'
'x+1/2,-y+1/2,z'
loop_
_atom_site_label
_atom_site_type_symbol
_atom_site_fract_x
_atom_site_fract_y
_atom_site_fract_z
Y1 Y 0.0000 0.0000 0.0000
Tm1 Tm 0.0211 0.5000 0.4940
Tm2 Tm 0.2604 0.0000 0.5433
Mo1 Mo 0.2360 0.5000 0.0256
C1 C 0.1337 0.0000 0.7718
C2 C 0.1511 0.5000 0.2641
C3 C 0.3531 0.0000 0.0400
```

[10]
For ZrCoSbIr, DFT lattice parameters and positions (GGA-PBE) gives the calculated powder XRD pattern in this record (CuKα).

Peak list (12 most intense, 2θ = 10–90°, low angle first)
(1 1 1), 2θ 23.69, I = 61
(2 0 0), 2θ 27.43, I = 138
(2 2 0), 2θ 39.18, I = 1000
(3 1 1), 2θ 46.30, I = 34
(2 2 2), 2θ 48.48, I = 42
(4 0 0), 2θ 56.60, I = 168
(3 3 1), 2θ 62.22, I = 15
(4 2 0), 2θ 64.02, I = 57
(4 2 2), 2θ 70.99, I = 338
(5 1 1), 2θ 76.03, I = 11
(4 4 0), 2θ 84.21, I = 108
(5 3 1), 2θ 89.05, I = 12

Structure:
```
data_ZrCoSbIr
_space_group_name_H-M_alt 'F -4 3 m'
_space_group_IT_number 216
_space_group_name_Hall 'F -4 2 3'
_cell_length_a 6.5041
_cell_length_b 6.5041
_cell_length_c 6.5041
_cell_angle_alpha 90.00
_cell_angle_beta 90.00
_cell_angle_gamma 90.00
loop_
_atom_site_label
_atom_site_type_symbol
_atom_site_fract_x
_atom_site_fract_y
_atom_site_fract_z
Zr1 Zr 0.0000 0.0000 0.0000
Co1 Co 0.0000 0.0000 0.5000
Sb1 Sb 0.2500 0.2500 0.2500
Ir1 Ir 0.2500 0.2500 0.7500
```

[11]
For TmAg2, DFT lattice parameters and positions (GGA-PBE) gives the calculated powder XRD pattern in this record (CuKα).

Peak list (12 most intense, 2θ = 10–90°, low angle first)
(0 0 2), 2θ 19.44, I = 22
(1 0 1), 2θ 26.12, I = 56
(1 1 0), 2θ 34.49, I = 674
(1 0 3), 2θ 38.39, I = 1000
(2 0 0), 2θ 49.57, I = 236
(0 0 6), 2θ 60.88, I = 62
(2 1 3), 2θ 64.39, I = 421
(1 1 6), 2θ 71.89, I = 151
(2 2 0), 2θ 72.72, I = 73
(2 0 6), 2θ 82.23, I = 106
(3 1 0), 2θ 83.03, I = 104
(3 0 3), 2θ 85.36, I = 98

Structure:
```
data_TmAg2
_space_group_name_H-M_alt 'P 4 m m'
_space_group_IT_number 99
_cell_length_a 3.6780
_cell_length_b 3.6780
_cell_length_c 9.1301
_cell_angle_alpha 90.00
_cell_angle_beta 90.00
_cell_angle_gamma 90.00
loop_
_space_group_symop_operation_xyz
'x,y,z'
'-y,x,z'
'-x,-y,z'
'y,-x,z'
'-x,y,z'
'y,x,z'
'x,-y,z'
'-y,-x,z'
loop_
_atom_site_label
_atom_site_type_symbol
_atom_site_fract_x
_atom_site_fract_y
_atom_site_fract_z
Tm1 Tm 0.0000 0.0000 0.0000
Tm2 Tm 0.5000 0.5000 0.4996
Ag1 Ag 0.0000 0.0000 0.3296
Ag2 Ag 0.0000 0.0000 0.6663
Ag3 Ag 0.5000 0.5000 0.1685
Ag4 Ag 0.5000 0.5000 0.8316
```

[12]
For Gd2DyMg4In2, DFT lattice parameters and positions (GGA-PBE) gives the calculated powder XRD pattern in this record (CuKα).

Peak list (12 most intense, 2θ = 10–90°, low angle first)
(0 1 1), 2θ 13.44, I = 549
(0 0 2), 2θ 23.38, I = 169
(1 3 1), 2θ 30.29, I = 965
(1 4 0), 2θ 33.27, I = 1000
(0 4 2), 2θ 36.11, I = 195
(2 0 0), 2θ 38.52, I = 252
(0 3 3), 2θ 41.00, I = 181
(1 2 4), 2θ 53.75, I = 213
(1 5 3), 2θ 53.85, I = 149
(3 3 1), 2θ 64.65, I = 230
(2 7 1), 2θ 64.89, I = 142
(3 4 0), 2θ 66.37, I = 133

Structure:
```
data_Gd2DyMg4In2
_space_group_name_H-M_alt 'A m m 2'
_space_group_IT_number 38
_cell_length_a 4.6740
_cell_length_b 13.1422
_cell_length_c 7.6304
_cell_angle_alpha 90.00
_cell_angle_beta 90.00
_cell_angle_gamma 90.00
loop_
_space_group_symop_operation_xyz
'x,y,z'
'-x,-y,z'
'-x,y,z'
'x,-y,z'
'x,y+1/2,z+1/2'
'-x,-y+1/2,z+1/2'
'-x,y+1/2,z+1/2'
'x,-y+1/2,z+1/2'
loop_
_atom_site_label
_atom_site_type_symbol
_atom_site_fract_x
_atom_site_fract_y
_atom_site_fract_z
Gd1 Gd 0.0000 0.2169 0.0000
Dy1 Dy 0.0000 0.0000 0.3479
Mg1 Mg 0.0000 0.0000 0.7805
Mg2 Mg 0.5000 0.0000 0.0254
Mg3 Mg 0.5000 0.1218 0.6606
In1 In 0.5000 0.1659 0.2831
```